# PrSn2O6
Computed powder X-ray diffraction pattern, Cu Kα (weighted mean of Kα1 and Kα2). Input: the GGA-PBE geometry in the Materials Project.

Cell and atoms:
```
PrSn2O6
1.0
8.0179 0.0000 0.0000
0.0000 5.9043 0.0000
0.0000 0.0000 5.6331
Pr Sn O
2 4 12
direct
0.0000 0.1812 0.0000
0.5000 0.8188 0.5000
0.2481 0.2743 0.4893
0.2519 0.7257 0.9893
0.7481 0.7257 0.9893
0.7519 0.2743 0.4893
0.0000 0.2664 0.5902
0.0000 0.7778 0.9281
0.1955 0.4424 0.1791
0.2206 0.9820 0.2562
0.2794 0.0180 0.7562
0.3045 0.5576 0.6791
0.5000 0.2222 0.4281
0.5000 0.7336 0.0902
0.6955 0.5576 0.6791
0.7206 0.0180 0.7562
0.7794 0.9820 0.2562
0.8045 0.4424 0.1791
```

The 12 most intense peaks (5 to 70 degrees two-theta), low angle first:
4.754 Å, intensity 29.3
4.609 Å, intensity 31.3
4.076 Å, intensity 20.5
2.952 Å, intensity 21.4
2.858 Å, intensity 100.0
2.817 Å, intensity 25.4
2.615 Å, intensity 10.3
2.038 Å, intensity 25.3
2.004 Å, intensity 16.0
1.686 Å, intensity 11.3
1.634 Å, intensity 36.2
1.429 Å, intensity 18.8


# KNdZr2O6
Computed powder X-ray diffraction pattern, Cu Kα (weighted mean of Kα1 and Kα2). Input: the GGA-PBE geometry in the Materials Project.

Cell and atoms:
```
KNdZr2O6
1.0
0.0000 4.1778 4.1778
4.1778 0.0000 4.1778
4.1778 4.1778 0.0000
K Nd Zr O
1 1 2 6
direct
0.0000 0.0000 0.0000
0.5000 0.5000 0.5000
0.2500 0.2500 0.2500
0.7500 0.7500 0.7500
0.0000 0.0000 0.5000
0.0000 0.5000 0.0000
0.0000 0.5000 0.5000
0.5000 0.0000 0.0000
0.5000 0.0000 0.5000
0.5000 0.5000 0.0000
```

The 11 most intense peaks (5 to 70 degrees two-theta), low angle first:
4.824 Å, intensity 20.3
4.178 Å, intensity 1.6
2.954 Å, intensity 100.0
2.519 Å, intensity 12.2
2.412 Å, intensity 3.1
2.089 Å, intensity 34.8
1.917 Å, intensity 5.7
1.706 Å, intensity 39.5
1.608 Å, intensity 4.4
1.477 Å, intensity 20.8
1.412 Å, intensity 4.3